For CaPmBeN2, DFT lattice parameters and positions (PBE) gives the calculated X-ray powder pattern in this record (Cu Ka).
No peak broadening, texture or thermal motion is included.

Crystal structure
a = 4.984 Å, b = 5.295 Å, c = 6.681 Å
α = 90.00°, β = 90.00°, γ = 90.00°
Positions (direct):
Ca1 0.000 0.000 0.250
Ca2 0.000 0.000 0.750
Pm1 0.500 0.500 0.250
Pm2 0.500 0.500 0.750
Be1 0.500 0.000 0.000
Be2 0.500 0.000 0.500
N1 0.300 0.224 0.000
N2 0.300 0.776 0.500
N3 0.700 0.224 0.500
N4 0.700 0.776 0.000

Principal peaks in the range 15° ≤ 2θ ≤ 90°, in order of rising 2θ:
(0 1 0), 2θ 16.74, intensity 29; (1 0 0), 2θ 17.79, intensity 47; (1 1 0), 2θ 24.53, intensity 100; (0 0 2), 2θ 26.69, intensity 29; (1 1 2), 2θ 36.56, intensity 82; (0 2 2), 2θ 43.62, intensity 28